# 1
Theoretical powder diffractogram
Compound: Nb2Se
Radiation: Cu Kα (weighted mean of Kα1 and Kα2)
Structure: a structure optimized by DFT (GGA-PBE)
No peak broadening, texture or thermal motion is included.

Crystal structure
abc: 14.0931 3.4429 9.3616
angles: 90.00 92.32 90.00
Space group C2/m (No. 12)
Inequivalent atoms, fractional coordinates:
Nb (0.0845, 0.0000, 0.3986)
Nb (0.0865, 0.5000, 0.6459)
Nb (0.2170, 0.0000, 0.1242)
Nb (0.2435, 0.5000, 0.3771)
Se (0.0753, 0.5000, 0.1841)
Se (0.1393, 0.0000, 0.8612)

The 10 most intense peaks (10 to 80 degrees two-theta), by angle:
| two_theta | d [Å] | intensity | h k l |
| --- | --- | --- | --- |
| 12.57 | 7.041 | 12 | 2 0 0 |
| 33.90 | 2.644 | 12 | 3 1 1 |
| 37.27 | 2.413 | 91 | 3 1 -2 |
| 38.09 | 2.363 | 100 | 3 1 2 |
| 38.35 | 2.347 | 27 | 6 0 0 |
| 38.50 | 2.338 | 41 | 0 0 4 |
| 39.20 | 2.298 | 23 | 6 0 -1 |
| 43.11 | 2.098 | 23 | 3 1 -3 |
| 53.21 | 1.721 | 25 | 0 2 0 |
| 67.53 | 1.387 | 25 | 0 2 4 |

***

# 2
Theoretical powder diffractogram
Compound: Ca2ZnRe
Radiation: Cu Kα (weighted mean of Kα1 and Kα2)
Structure: a structure optimized by DFT (GGA-PBE)
No peak broadening, texture or thermal motion is included.

Crystal structure
abc: 3.0647 5.3085 11.0486
angles: 90.00 90.00 90.00
Space group Imm2 (No. 44)
Inequivalent atoms, fractional coordinates:
Ca (0.0000, 0.0000, 0.0000)
Ca (0.0000, 0.5000, 0.1948)
Zn (0.0000, 0.0000, 0.4359)
Re (0.0000, 0.5000, 0.7481)

The 10 most intense peaks (10 to 80 degrees two-theta), by angle:
| two_theta | d [Å] | intensity | h k l |
| --- | --- | --- | --- |
| 16.04 | 5.524 | 28 | 0 0 2 |
| 18.54 | 4.785 | 80 | 0 1 1 |
| 32.41 | 2.762 | 23 | 0 0 4 |
| 33.77 | 2.654 | 43 | 0 2 0 |
| 37.60 | 2.392 | 100 | 1 1 2 |
| 38.20 | 2.356 | 23 | 1 0 3 |
| 44.41 | 2.040 | 19 | 0 1 5 |
| 47.51 | 1.914 | 27 | 0 2 4 |
| 51.90 | 1.762 | 19 | 1 2 3 |
| 62.94 | 1.477 | 21 | 1 3 2 |

***

# 3
Theoretical powder diffractogram
Compound: La4Nd4Er3
Radiation: Cu Kα (weighted mean of Kα1 and Kα2)
Structure: a structure optimized by DFT (GGA-PBE)
No peak broadening, texture or thermal motion is included.

Crystal structure
abc: 36.8289 3.5805 5.8059
angles: 90.00 99.06 90.00
Space group Cm (No. 8)
Inequivalent atoms, fractional coordinates:
La (0.0000, 0.0000, 0.0000)
La (0.0423, 0.5000, 0.5428)
La (0.1786, 0.5000, 0.1801)
La (0.3638, 0.5000, 0.3629)
Nd (0.0888, 0.5000, 0.0895)
Nd (0.2267, 0.5000, 0.7282)
Nd (0.3157, 0.5000, 0.8149)
Nd (0.4535, 0.5000, 0.4533)
Er (0.1354, 0.0000, 0.6368)
Er (0.2712, 0.0000, 0.2716)
Er (0.4069, 0.0000, 0.9061)

The 10 most intense peaks (10 to 80 degrees two-theta), by angle:
| two_theta | d [Å] | intensity | h k l |
| --- | --- | --- | --- |
| 30.32 | 2.948 | 43 | 7 1 0 |
| 30.80 | 2.903 | 52 | 2 0 -2 |
| 30.95 | 2.890 | 89 | 3 1 1 |
| 31.13 | 2.873 | 100 | 10 0 1 |
| 43.76 | 2.069 | 31 | 9 1 -2 |
| 45.16 | 2.008 | 17 | 15 1 0 |
| 54.86 | 1.673 | 18 | 1 1 3 |
| 54.98 | 1.670 | 20 | 8 0 3 |
| 55.64 | 1.652 | 28 | 22 0 0 |
| 60.98 | 1.519 | 29 | 10 2 1 |

***

# 4
Theoretical powder diffractogram
Compound: Pd3Pt2Rh3
Radiation: Cu Kα (weighted mean of Kα1 and Kα2)
Structure: a structure optimized by DFT (GGA-PBE)
No peak broadening, texture or thermal motion is included.

Crystal structure
abc: 4.5786 11.0589 4.7527
angles: 90.00 90.07 90.00
Space group P2_1/m (No. 11)
Inequivalent atoms, fractional coordinates:
Pd (0.2499, 0.1224, 0.1680)
Pd (0.2499, 0.7500, 0.6722)
Pt (0.2503, 0.6254, 0.1752)
Rh (0.2492, 0.2500, 0.6733)
Rh (0.2498, 0.0038, 0.6640)

The 10 most intense peaks (10 to 80 degrees two-theta), by angle:
| two_theta | d [Å] | intensity | h k l |
| --- | --- | --- | --- |
| 37.64 | 2.390 | 21 | 0 4 1 |
| 37.86 | 2.376 | 13 | 0 0 2 |
| 39.36 | 2.289 | 41 | 2 0 0 |
| 42.68 | 2.119 | 100 | 1 4 1 |
| 42.88 | 2.109 | 45 | 1 0 2 |
| 55.59 | 1.653 | 13 | 2 4 1 |
| 55.76 | 1.649 | 9 | 2 0 -2 |
| 68.23 | 1.375 | 16 | 0 4 3 |
| 73.62 | 1.287 | 10 | 3 4 -1 |
| 73.69 | 1.286 | 14 | 3 4 1 |

***

Repeat the fourth record exactly.
Theoretical powder diffractogram
Compound: Pd3Pt2Rh3
Radiation: Cu Kα (weighted mean of Kα1 and Kα2)
Structure: a structure optimized by DFT (GGA-PBE)
No peak broadening, texture or thermal motion is included.

Crystal structure
abc: 4.5786 11.0589 4.7527
angles: 90.00 90.07 90.00
Space group P2_1/m (No. 11)
Inequivalent atoms, fractional coordinates:
Pd (0.2499, 0.1224, 0.1680)
Pd (0.2499, 0.7500, 0.6722)
Pt (0.2503, 0.6254, 0.1752)
Rh (0.2492, 0.2500, 0.6733)
Rh (0.2498, 0.0038, 0.6640)

The 10 most intense peaks (10 to 80 degrees two-theta), by angle:
| two_theta | d [Å] | intensity | h k l |
| --- | --- | --- | --- |
| 37.64 | 2.390 | 21 | 0 4 1 |
| 37.86 | 2.376 | 13 | 0 0 2 |
| 39.36 | 2.289 | 41 | 2 0 0 |
| 42.68 | 2.119 | 100 | 1 4 1 |
| 42.88 | 2.109 | 45 | 1 0 2 |
| 55.59 | 1.653 | 13 | 2 4 1 |
| 55.76 | 1.649 | 9 | 2 0 -2 |
| 68.23 | 1.375 | 16 | 0 4 3 |
| 73.62 | 1.287 | 10 | 3 4 -1 |
| 73.69 | 1.286 | 14 | 3 4 1 |